Theoretical X-ray powder pattern
Compound: Rb4HgH12
Radiation: Cu Kα (λ = 1.5418 Å)
Structure: a PBE-relaxed structure
Peak positions follow from Bragg's law for the DFT cell and can differ from measured ones.

Crystal structure
```
Rb4HgH12
1.0
-4.613 4.613 4.613
4.613 -4.613 4.613
4.613 4.613 -4.613
Rb Hg H
4 1 12
direct
0.000 0.000 0.500
0.000 0.500 0.000
0.500 0.000 0.000
0.500 0.500 0.500
0.000 0.000 0.000
0.131 0.458 0.589
0.131 0.542 0.673
0.327 0.869 0.458
0.411 0.869 0.542
0.458 0.327 0.869
0.458 0.589 0.131
0.542 0.411 0.869
0.542 0.673 0.131
0.589 0.131 0.458
0.673 0.131 0.542
0.869 0.458 0.327
0.869 0.542 0.411
```

The 12 most intense peaks (2θ = 15–90°), low angle first:
| 2θ (°) | d (Å) | I (rel.) |
| --- | --- | --- |
| 23.62 | 3.767 | 37 |
| 27.34 | 3.262 | 100 |
| 30.64 | 2.918 | 19 |
| 36.44 | 2.466 | 25 |
| 39.05 | 2.307 | 19 |
| 41.53 | 2.175 | 13 |
| 48.33 | 1.883 | 40 |
| 50.44 | 1.809 | 15 |
| 54.47 | 1.684 | 8 |
| 56.42 | 1.631 | 13 |
| 63.80 | 1.459 | 18 |
| 77.41 | 1.233 | 21 |

***

Theoretical X-ray powder pattern
Compound: Rb3HgH
Radiation: Cu Kα (λ = 1.5418 Å)
Structure: a PBE-relaxed structure
Peak positions follow from Bragg's law for the DFT cell and can differ from measured ones.

Crystal structure
```
Rb3HgH
1.0
5.875 0.000 0.000
0.000 5.875 0.000
0.000 0.000 5.875
Rb Hg H
3 1 1
direct
0.000 0.000 0.500
0.000 0.500 0.000
0.500 0.000 0.000
0.500 0.500 0.500
0.000 0.000 0.000
```

The 12 most intense peaks (2θ = 15–90°), low angle first:
| 2θ (°) | d (Å) | I (rel.) |
| --- | --- | --- |
| 15.08 | 5.875 | 15 |
| 21.39 | 4.154 | 15 |
| 26.28 | 3.392 | 100 |
| 30.43 | 2.937 | 52 |
| 34.13 | 2.627 | 9 |
| 43.58 | 2.077 | 39 |
| 51.60 | 1.771 | 47 |
| 54.08 | 1.696 | 14 |
| 69.78 | 1.348 | 19 |
| 71.87 | 1.314 | 18 |
| 80.02 | 1.199 | 13 |
| 85.98 | 1.131 | 15 |

***

Theoretical X-ray powder pattern
Compound: Rb2Hg2H4Rh
Radiation: Cu Kα (λ = 1.5418 Å)
Structure: a PBE-relaxed structure
Peak positions follow from Bragg's law for the DFT cell and can differ from measured ones.

Crystal structure
```
Rb2Hg2H4Rh
1.0
-3.446 3.446 4.000
3.446 -3.446 4.000
3.446 3.446 -4.000
Rb Hg H Rh
2 2 4 1
direct
0.250 0.750 0.500
0.750 0.250 0.500
0.175 0.175 0.000
0.825 0.825 0.000
0.326 0.326 0.653
0.326 0.674 0.000
0.674 0.326 0.000
0.674 0.674 0.347
0.500 0.500 0.000
```

The 12 most intense peaks (2θ = 15–90°), low angle first:
| 2θ (°) | d (Å) | I (rel.) |
| --- | --- | --- |
| 18.20 | 4.873 | 54 |
| 25.85 | 3.446 | 100 |
| 34.35 | 2.611 | 20 |
| 36.12 | 2.487 | 47 |
| 36.89 | 2.437 | 40 |
| 44.95 | 2.017 | 50 |
| 52.58 | 1.741 | 16 |
| 59.50 | 1.554 | 22 |
| 60.03 | 1.541 | 20 |
| 65.96 | 1.416 | 16 |
| 78.04 | 1.224 | 15 |
| 85.34 | 1.137 | 14 |

***

Theoretical X-ray powder pattern
Compound: Rb2HgH6Rh
Radiation: Cu Kα (λ = 1.5418 Å)
Structure: a PBE-relaxed structure
Peak positions follow from Bragg's law for the DFT cell and can differ from measured ones.

Crystal structure
```
Rb2HgH6Rh
1.0
6.087 0.000 0.000
-3.043 5.271 0.000
0.000 0.000 5.296
Rb Hg H Rh
2 1 6 1
direct
0.333 0.667 0.236
0.667 0.333 0.764
0.000 0.000 0.500
0.139 0.277 0.832
0.139 0.861 0.832
0.277 0.139 0.168
0.723 0.861 0.832
0.861 0.139 0.168
0.861 0.723 0.168
0.000 0.000 0.000
```

The 12 most intense peaks (2θ = 15–90°), low angle first:
| 2θ (°) | d (Å) | I (rel.) |
| --- | --- | --- |
| 16.82 | 5.272 | 84 |
| 23.82 | 3.736 | 47 |
| 29.35 | 3.043 | 100 |
| 34.01 | 2.636 | 18 |
| 38.03 | 2.366 | 67 |
| 38.14 | 2.360 | 15 |
| 45.53 | 1.992 | 13 |
| 48.78 | 1.867 | 47 |
| 52.05 | 1.757 | 20 |
| 57.93 | 1.592 | 40 |
| 60.88 | 1.522 | 13 |
| 74.09 | 1.280 | 21 |

***

Theoretical X-ray powder pattern
Compound: Hg5H2S4
Radiation: Cu Kα (λ = 1.5418 Å)
Structure: a PBE-relaxed structure
Peak positions follow from Bragg's law for the DFT cell and can differ from measured ones.

Crystal structure
```
Hg5H2S4
1.0
7.297 -3.488 0.000
7.297 3.488 0.000
-6.465 0.000 7.805
Hg H S
5 2 4
direct
0.000 0.000 0.000
0.033 0.654 0.400
0.346 0.967 0.600
0.654 0.033 0.400
0.967 0.346 0.600
0.192 0.192 0.997
0.808 0.808 0.003
0.077 0.077 0.852
0.263 0.263 0.382
0.737 0.737 0.618
0.923 0.923 0.148
```

The 12 most intense peaks (2θ = 15–90°), low angle first:
| 2θ (°) | d (Å) | I (rel.) |
| --- | --- | --- |
| 17.55 | 5.054 | 100 |
| 22.65 | 3.927 | 44 |
| 24.54 | 3.628 | 29 |
| 24.73 | 3.600 | 85 |
| 25.96 | 3.432 | 58 |
| 27.07 | 3.294 | 34 |
| 28.02 | 3.185 | 54 |
| 34.50 | 2.600 | 30 |
| 35.71 | 2.515 | 28 |
| 37.55 | 2.395 | 27 |
| 39.77 | 2.266 | 43 |
| 45.93 | 1.976 | 29 |

***

Theoretical X-ray powder pattern
Compound: Hg4H3Se4
Radiation: Cu Kα (λ = 1.5418 Å)
Structure: a PBE-relaxed structure
Peak positions follow from Bragg's law for the DFT cell and can differ from measured ones.

Crystal structure
```
Hg4H3Se4
1.0
5.578 -2.728 0.000
5.578 2.728 0.000
-0.257 0.000 10.072
Hg H Se
4 3 4
direct
0.000 0.000 0.000
0.013 0.013 0.497
0.622 0.622 0.226
0.719 0.719 0.765
0.312 0.312 0.146
0.320 0.320 0.655
0.389 0.389 0.390
0.219 0.219 0.749
0.231 0.231 0.263
0.507 0.507 0.998
0.511 0.511 0.473
```

The 12 most intense peaks (2θ = 15–90°), low angle first:
| 2θ (°) | d (Å) | I (rel.) |
| --- | --- | --- |
| 15.89 | 5.577 | 50 |
| 23.50 | 3.786 | 100 |
| 24.11 | 3.691 | 80 |
| 25.21 | 3.532 | 33 |
| 25.50 | 3.493 | 34 |
| 29.06 | 3.072 | 23 |
| 32.10 | 2.788 | 20 |
| 32.83 | 2.728 | 60 |
| 35.66 | 2.518 | 42 |
| 40.76 | 2.213 | 48 |
| 41.14 | 2.194 | 39 |
| 49.24 | 1.850 | 34 |

***

Theoretical X-ray powder pattern
Compound: Sn4HgH3
Radiation: Cu Kα (λ = 1.5418 Å)
Structure: a PBE-relaxed structure
Peak positions follow from Bragg's law for the DFT cell and can differ from measured ones.

Crystal structure
```
Sn4HgH3
1.0
6.938 0.000 0.000
3.226 6.175 0.000
1.375 0.640 7.753
Sn Hg H
8 2 6
direct
0.047 0.170 0.365
0.143 0.664 0.168
0.294 0.009 0.955
0.397 0.639 0.745
0.603 0.361 0.255
0.706 0.991 0.045
0.857 0.336 0.832
0.953 0.830 0.635
0.470 0.187 0.620
0.530 0.813 0.380
0.008 0.699 0.430
0.090 0.407 0.236
0.272 0.513 0.942
0.728 0.487 0.058
0.910 0.593 0.764
0.992 0.301 0.570
```

The 12 most intense peaks (2θ = 15–90°), low angle first:
| 2θ (°) | d (Å) | I (rel.) |
| --- | --- | --- |
| 25.03 | 3.558 | 24 |
| 26.66 | 3.344 | 48 |
| 30.01 | 2.977 | 95 |
| 30.17 | 2.963 | 100 |
| 30.39 | 2.942 | 28 |
| 30.62 | 2.919 | 23 |
| 31.95 | 2.801 | 30 |
| 36.59 | 2.456 | 24 |
| 39.80 | 2.265 | 28 |
| 42.62 | 2.121 | 28 |
| 43.05 | 2.101 | 22 |
| 43.52 | 2.079 | 40 |

***

Theoretical X-ray powder pattern
Compound: Sn2HgH4
Radiation: Cu Kα (λ = 1.5418 Å)
Structure: a PBE-relaxed structure
Peak positions follow from Bragg's law for the DFT cell and can differ from measured ones.

Crystal structure
```
Sn2HgH4
1.0
2.971 0.000 0.000
-0.006 3.866 0.000
-1.370 -1.777 10.971
Sn Hg H
2 1 4
direct
0.097 0.162 0.336
0.903 0.838 0.664
0.000 0.500 0.000
0.024 0.090 0.174
0.108 0.675 0.365
0.892 0.325 0.635
0.976 0.910 0.826
```

The 12 most intense peaks (2θ = 15–90°), low angle first:
| 2θ (°) | d (Å) | I (rel.) |
| --- | --- | --- |
| 24.34 | 3.657 | 100 |
| 25.92 | 3.438 | 85 |
| 26.23 | 3.398 | 82 |
| 30.33 | 2.946 | 63 |
| 36.70 | 2.449 | 31 |
| 39.06 | 2.306 | 39 |
| 39.28 | 2.293 | 25 |
| 41.49 | 2.176 | 21 |
| 41.69 | 2.167 | 45 |
| 43.61 | 2.075 | 22 |
| 44.20 | 2.049 | 21 |
| 56.94 | 1.617 | 28 |

***

Theoretical X-ray powder pattern
Compound: TbHgH
Radiation: Cu Kα (λ = 1.5418 Å)
Structure: a PBE-relaxed structure
Peak positions follow from Bragg's law for the DFT cell and can differ from measured ones.

Crystal structure
```
TbHgH
1.0
3.747 0.000 0.000
0.000 3.747 0.000
0.000 0.000 7.726
Tb Hg H
2 2 2
direct
0.250 0.250 0.165
0.750 0.750 0.835
0.250 0.250 0.610
0.750 0.750 0.390
0.250 0.750 0.000
0.750 0.250 0.000
```

The 12 most intense peaks (2θ = 15–90°), low angle first:
| 2θ (°) | d (Å) | I (rel.) |
| --- | --- | --- |
| 33.31 | 2.690 | 100 |
| 33.83 | 2.650 | 54 |
| 42.60 | 2.122 | 13 |
| 48.59 | 1.874 | 20 |
| 59.20 | 1.561 | 13 |
| 60.19 | 1.537 | 37 |
| 66.57 | 1.405 | 7 |
| 69.95 | 1.345 | 8 |
| 70.56 | 1.335 | 7 |
| 71.16 | 1.325 | 7 |
| 80.88 | 1.189 | 8 |
| 81.16 | 1.185 | 9 |

***

Theoretical X-ray powder pattern
Compound: Th8Tc3Hg3H
Radiation: Cu Kα (λ = 1.5418 Å)
Structure: a PBE-relaxed structure
Peak positions follow from Bragg's law for the DFT cell and can differ from measured ones.

Crystal structure
```
Th8Tc3Hg3H
1.0
7.273 0.000 0.000
1.383 7.621 0.000
1.385 1.529 7.478
Th Tc Hg H
8 3 3 1
direct
0.182 0.332 0.332
0.212 0.783 0.783
0.228 0.825 0.263
0.229 0.263 0.825
0.771 0.737 0.175
0.772 0.175 0.737
0.788 0.217 0.217
0.818 0.668 0.668
0.000 0.000 0.000
0.000 0.000 0.500
0.000 0.500 0.000
0.500 0.000 0.500
0.500 0.500 0.000
0.500 0.500 0.500
0.000 0.500 0.500
```

The 12 most intense peaks (2θ = 15–90°), low angle first:
| 2θ (°) | d (Å) | I (rel.) |
| --- | --- | --- |
| 28.58 | 3.124 | 48 |
| 28.78 | 3.102 | 10 |
| 29.83 | 2.995 | 15 |
| 30.00 | 2.979 | 27 |
| 30.25 | 2.954 | 17 |
| 32.23 | 2.778 | 100 |
| 37.29 | 2.411 | 31 |
| 37.43 | 2.403 | 26 |
| 48.52 | 1.876 | 12 |
| 53.98 | 1.699 | 14 |
| 64.08 | 1.453 | 10 |
| 67.42 | 1.389 | 13 |

***

Theoretical X-ray powder pattern
Compound: Hg3TeH4
Radiation: Cu Kα (λ = 1.5418 Å)
Structure: a PBE-relaxed structure
Peak positions follow from Bragg's law for the DFT cell and can differ from measured ones.

Crystal structure
```
Hg3TeH4
1.0
3.989 -4.253 0.000
3.989 4.253 0.000
-2.816 0.000 4.572
Hg Te H
3 1 4
direct
0.000 0.000 0.000
0.172 0.828 0.500
0.828 0.172 0.500
0.500 0.500 0.000
0.333 0.664 0.748
0.336 0.667 0.252
0.664 0.333 0.748
0.667 0.336 0.252
```

The 12 most intense peaks (2θ = 15–90°), low angle first:
| 2θ (°) | d (Å) | I (rel.) |
| --- | --- | --- |
| 16.70 | 5.308 | 69 |
| 26.24 | 3.396 | 100 |
| 28.67 | 3.114 | 90 |
| 31.28 | 2.860 | 72 |
| 33.89 | 2.645 | 50 |
| 34.27 | 2.616 | 19 |
| 35.91 | 2.500 | 50 |
| 39.41 | 2.286 | 34 |
| 43.17 | 2.096 | 23 |
| 46.05 | 1.971 | 25 |
| 47.03 | 1.932 | 20 |
| 47.16 | 1.927 | 26 |

***

Theoretical X-ray powder pattern
Compound: Hg4Te2H3
Radiation: Cu Kα (λ = 1.5418 Å)
Structure: a PBE-relaxed structure
Peak positions follow from Bragg's law for the DFT cell and can differ from measured ones.

Crystal structure
```
Hg4Te2H3
1.0
6.307 0.000 0.000
-0.738 7.281 0.000
-2.013 -3.193 9.392
Hg Te H
8 4 6
direct
0.015 0.162 0.427
0.200 0.275 0.155
0.272 0.991 0.895
0.298 0.588 0.445
0.702 0.412 0.555
0.728 0.009 0.105
0.800 0.725 0.845
0.985 0.838 0.573
0.274 0.504 0.849
0.391 0.943 0.304
0.609 0.057 0.696
0.726 0.496 0.151
0.187 0.805 0.164
0.233 0.532 0.686
0.411 0.312 0.784
0.589 0.688 0.216
0.767 0.468 0.314
0.813 0.195 0.836
```

The 12 most intense peaks (2θ = 15–90°), low angle first:
| 2θ (°) | d (Å) | I (rel.) |
| --- | --- | --- |
| 26.11 | 3.413 | 43 |
| 26.63 | 3.348 | 40 |
| 27.23 | 3.275 | 24 |
| 28.53 | 3.129 | 39 |
| 29.99 | 2.979 | 27 |
| 30.46 | 2.935 | 100 |
| 30.64 | 2.918 | 88 |
| 31.87 | 2.808 | 31 |
| 34.33 | 2.612 | 52 |
| 35.86 | 2.504 | 27 |
| 36.71 | 2.448 | 25 |
| 39.49 | 2.282 | 29 |